No. 1
Starting from a GGA-PBE-relaxed structure, the PXRD pattern of BeNO2F was calculated for copper Kα.
No peak broadening, texture or thermal motion is included.

The 10 most intense peaks (2θ = 15–90°), sorted by position:
2theta, d [Å], Rel. int.
15.56, 5.696, 6.5
31.41, 2.848, 100.0
32.93, 2.720, 9.7
44.33, 2.044, 85.0
59.73, 1.548, 19.6
65.02, 1.434, 17.8
65.55, 1.424, 6.8
69.05, 1.360, 22.2
69.92, 1.345, 1.8
89.54, 1.095, 4.7

```
data_BeNO2F
_space_group_name_H-M_alt 'P 1'
_space_group_IT_number 1
_cell_length_a 3.0962
_cell_length_b 3.0962
_cell_length_c 5.6960
_cell_angle_alpha 90.00
_cell_angle_beta 90.00
_cell_angle_gamma 90.00
loop_
_space_group_symop_operation_xyz
'x,y,z'
loop_
_atom_site_label
_atom_site_fract_x
_atom_site_fract_y
_atom_site_fract_z
_atom_site_occupancy
Be1 0.0000 0.0000 0.0000 1
N1 0.0000 0.0000 0.5000 1
O1 0.0000 0.5000 0.0000 1
O2 0.5000 0.0000 0.0000 1
F1 0.5000 0.5000 0.5000 1
```

No. 2
Starting from a GGA-PBE-relaxed structure, the PXRD pattern of Na3Be3Pb2F13 was calculated for copper Kα.
No peak broadening, texture or thermal motion is included.

The 10 most intense peaks (2θ = 15–90°), sorted by position:
2theta, d [Å], Rel. int.
16.38, 5.412, 83.3
18.35, 4.834, 30.7
21.12, 4.206, 55.2
22.42, 3.965, 74.3
24.95, 3.570, 58.7
27.20, 3.279, 36.4
30.83, 2.900, 38.3
30.99, 2.885, 100.0
31.25, 2.862, 37.6
47.88, 1.900, 34.6

```
data_Na3Be3Pb2F13
_space_group_name_H-M_alt 'P 1'
_space_group_IT_number 1
_cell_length_a 9.5371
_cell_length_b 7.1391
_cell_length_c 9.6675
_cell_angle_alpha 90.00
_cell_angle_beta 119.52
_cell_angle_gamma 90.00
loop_
_space_group_symop_operation_xyz
'x,y,z'
loop_
_atom_site_label
_atom_site_fract_x
_atom_site_fract_y
_atom_site_fract_z
_atom_site_occupancy
Na1 0.1546 0.0000 0.3234 1
Na2 0.1597 0.4889 0.3215 1
Na3 0.2409 0.7438 0.0012 1
Na4 0.7591 0.2438 0.9988 1
Na5 0.8403 0.9889 0.6785 1
Na6 0.8454 0.5000 0.6766 1
Be1 0.1015 0.2431 0.9706 1
Be2 0.1177 0.7468 0.5925 1
Be3 0.4675 0.7420 0.3744 1
Be4 0.5325 0.2420 0.6256 1
Be5 0.8823 0.2468 0.4075 1
Be6 0.8985 0.7431 0.0294 1
Pb1 0.2759 0.2463 0.7638 1
Pb2 0.4905 0.2419 0.2469 1
Pb3 0.5095 0.7419 0.7531 1
Pb4 0.7241 0.7463 0.2362 1
F1 0.0082 0.7452 0.6663 1
F2 0.0247 0.7524 0.4063 1
F3 0.0834 0.7466 0.1245 1
F4 0.1694 0.0685 0.9190 1
F5 0.1689 0.2396 0.1532 1
F6 0.1742 0.4184 0.9241 1
F7 0.2339 0.5702 0.6430 1
F8 0.2387 0.9195 0.6530 1
F9 0.3516 0.2382 0.4989 1
F10 0.3584 0.7560 0.4524 1
F11 0.4144 0.5650 0.2645 1
F12 0.4306 0.9082 0.2548 1
F13 0.4775 0.7306 0.9836 1
F14 0.5225 0.2306 0.0164 1
F15 0.5694 0.4082 0.7452 1
F16 0.5856 0.0650 0.7355 1
F17 0.6416 0.2560 0.5476 1
F18 0.6484 0.7382 0.5011 1
F19 0.7613 0.4195 0.3470 1
F20 0.7661 0.0702 0.3570 1
F21 0.8258 0.9184 0.0759 1
F22 0.8306 0.5685 0.0810 1
F23 0.8311 0.7396 0.8468 1
F24 0.9166 0.2466 0.8755 1
F25 0.9753 0.2524 0.5937 1
F26 0.9918 0.2452 0.3337 1
```

No. 3
Starting from a GGA-PBE-relaxed structure, the PXRD pattern of NaSrBeF6 was calculated for copper Kα.
No peak broadening, texture or thermal motion is included.

The 10 most intense peaks (2θ = 15–90°), sorted by position:
2theta, d [Å], Rel. int.
19.02, 4.665, 33.1
26.11, 3.413, 100.0
37.94, 2.372, 37.7
38.60, 2.332, 14.6
40.92, 2.205, 21.4
42.77, 2.114, 24.1
49.73, 1.833, 36.7
51.85, 1.763, 11.8
55.23, 1.663, 27.6
59.44, 1.555, 12.5

```
data_NaSrBeF6
_space_group_name_H-M_alt 'P 1'
_space_group_IT_number 1
_cell_length_a 5.3867
_cell_length_b 5.3867
_cell_length_c 5.0057
_cell_angle_alpha 90.00
_cell_angle_beta 90.00
_cell_angle_gamma 120.00
loop_
_space_group_symop_operation_xyz
'x,y,z'
loop_
_atom_site_label
_atom_site_fract_x
_atom_site_fract_y
_atom_site_fract_z
_atom_site_occupancy
Na1 0.0000 0.0000 0.0000 1
Sr1 0.6667 0.3333 0.5000 1
Be1 0.3333 0.6667 0.0000 1
F1 0.0599 0.4028 0.2024 1
F2 0.0599 0.6570 0.7976 1
F3 0.3430 0.4028 0.7976 1
F4 0.3430 0.9401 0.2024 1
F5 0.5972 0.6570 0.2024 1
F6 0.5972 0.9401 0.7976 1
```

No. 4
Starting from a GGA-PBE-relaxed structure, the PXRD pattern of Na3BeTl3F8 was calculated for copper Kα.
No peak broadening, texture or thermal motion is included.

The 10 most intense peaks (2θ = 15–90°), sorted by position:
2theta, d [Å], Rel. int.
15.89, 5.578, 59.0
17.86, 4.965, 37.8
28.37, 3.146, 35.3
31.00, 2.885, 69.8
32.09, 2.789, 66.7
36.18, 2.483, 100.0
39.00, 2.309, 50.2
49.68, 1.835, 32.9
54.44, 1.685, 29.2
62.52, 1.486, 26.5

```
data_Na3BeTl3F8
_space_group_name_H-M_alt 'P 1'
_space_group_IT_number 1
_cell_length_a 6.7426
_cell_length_b 6.7426
_cell_length_c 7.4025
_cell_angle_alpha 117.15
_cell_angle_beta 117.15
_cell_angle_gamma 59.98
loop_
_space_group_symop_operation_xyz
'x,y,z'
loop_
_atom_site_label
_atom_site_fract_x
_atom_site_fract_y
_atom_site_fract_z
_atom_site_occupancy
Na1 0.0000 0.0000 0.0000 1
Na2 0.0000 0.5000 0.0000 1
Na3 0.5000 0.0000 0.0000 1
Be1 0.5000 0.5000 0.0000 1
Tl1 0.0000 0.5000 0.5000 1
Tl2 0.5000 0.0000 0.5000 1
Tl3 0.5000 0.5000 0.5000 1
F1 0.2302 0.2302 0.1906 1
F2 0.2930 0.6855 0.1639 1
F3 0.3139 0.3139 0.8356 1
F4 0.3145 0.7070 0.8361 1
F5 0.6855 0.2930 0.1639 1
F6 0.6861 0.6861 0.1644 1
F7 0.7070 0.3145 0.8361 1
F8 0.7698 0.7698 0.8094 1
```

No. 5
Starting from a GGA-PBE-relaxed structure, the PXRD pattern of NdBeF5 was calculated for copper Kα.
No peak broadening, texture or thermal motion is included.

The 10 most intense peaks (2θ = 15–90°), sorted by position:
2theta, d [Å], Rel. int.
16.85, 5.263, 100.0
22.97, 3.872, 33.1
23.42, 3.798, 76.7
23.89, 3.725, 30.1
24.82, 3.587, 41.0
33.38, 2.684, 22.1
34.39, 2.608, 21.5
39.43, 2.285, 24.1
40.62, 2.221, 18.6
45.03, 2.013, 17.7

```
data_NdBeF5
_space_group_name_H-M_alt 'P 1'
_space_group_IT_number 1
_cell_length_a 8.7158
_cell_length_b 7.1746
_cell_length_c 7.7447
_cell_angle_alpha 90.00
_cell_angle_beta 90.00
_cell_angle_gamma 90.00
loop_
_space_group_symop_operation_xyz
'x,y,z'
loop_
_atom_site_label
_atom_site_fract_x
_atom_site_fract_y
_atom_site_fract_z
_atom_site_occupancy
Nd1 0.1127 0.2500 0.2295 1
Nd2 0.3873 0.7500 0.7295 1
Nd3 0.6127 0.2500 0.2705 1
Nd4 0.8873 0.7500 0.7705 1
Be1 0.1143 0.7500 0.3580 1
Be2 0.3857 0.2500 0.8580 1
Be3 0.6143 0.7500 0.1420 1
Be4 0.8857 0.2500 0.6420 1
F1 0.0232 0.2500 0.5110 1
F2 0.1070 0.5704 0.2446 1
F3 0.1070 0.9296 0.2446 1
F4 0.1423 0.7500 0.8358 1
F5 0.2319 0.2500 0.9652 1
F6 0.2681 0.7500 0.4652 1
F7 0.3577 0.2500 0.3358 1
F8 0.3930 0.0704 0.7446 1
F9 0.3930 0.4296 0.7446 1
F10 0.4768 0.7500 0.0110 1
F11 0.5232 0.2500 0.9890 1
F12 0.6070 0.5704 0.2554 1
F13 0.6070 0.9296 0.2554 1
F14 0.6423 0.7500 0.6642 1
F15 0.7319 0.2500 0.5348 1
F16 0.7681 0.7500 0.0348 1
F17 0.8577 0.2500 0.1642 1
F18 0.8930 0.0704 0.7554 1
F19 0.8930 0.4296 0.7554 1
F20 0.9768 0.7500 0.4890 1
```